1.
Theoretical XRD peak list
Compound: MgGa2FeCu4
Radiation: Cu Kα, 1.54184 Å
Structure: a GGA-PBE-relaxed structure
Peak positions follow from Bragg's law for the DFT cell and can differ from measured ones.

```
MgGa2FeCu4
1.0
4.157 0.000 0.000
0.000 4.157 0.000
0.000 0.000 6.134
Mg Ga Fe Cu
1 2 1 4
Direct
0.000 0.000 0.000 Mg
0.000 0.000 0.500 Ga
0.500 0.500 0.000 Ga
0.500 0.500 0.500 Fe
0.000 0.500 0.261 Cu
0.000 0.500 0.739 Cu
0.500 0.000 0.261 Cu
0.500 0.000 0.739 Cu
```

Peak list (6 most intense, 15 to 90 degrees two-theta, sorted by position)
Position (°2θ)	d_spacing	I_rel	hkl
42.6	2.122	100	1 1 2
43.5	2.078	47	2 0 0
60.4	1.534	8	0 0 4
63.3	1.470	14	2 2 0
77.3	1.234	15	2 0 4
79.3	1.208	28	3 1 2

=====

2.
Theoretical XRD peak list
Compound: Cs3ZnBr5
Radiation: Cu Kα, 1.54184 Å
Structure: a GGA-PBE-relaxed structure
Peak positions follow from Bragg's law for the DFT cell and can differ from measured ones.

```
Cs3ZnBr5
1.0
9.602 0.000 0.000
0.000 11.094 0.000
0.000 0.000 14.228
Cs Zn Br
12 4 20
Direct
0.087 0.019 0.173 Cs
0.087 0.481 0.173 Cs
0.090 0.250 0.454 Cs
0.410 0.750 0.954 Cs
0.413 0.519 0.673 Cs
0.413 0.981 0.673 Cs
0.587 0.019 0.327 Cs
0.587 0.481 0.327 Cs
0.590 0.250 0.046 Cs
0.910 0.750 0.546 Cs
0.913 0.519 0.827 Cs
0.913 0.981 0.827 Cs
0.189 0.250 0.895 Zn
0.311 0.750 0.395 Zn
0.689 0.250 0.605 Zn
0.811 0.750 0.105 Zn
0.029 0.750 0.015 Br
0.139 0.250 0.727 Br
0.162 0.750 0.739 Br
0.191 0.565 0.437 Br
0.191 0.935 0.437 Br
0.309 0.065 0.937 Br
0.309 0.435 0.937 Br
0.338 0.250 0.239 Br
0.361 0.750 0.227 Br
0.471 0.250 0.515 Br
0.529 0.750 0.485 Br
0.639 0.250 0.773 Br
0.662 0.750 0.761 Br
0.691 0.565 0.063 Br
0.691 0.935 0.063 Br
0.809 0.065 0.563 Br
0.809 0.435 0.563 Br
0.838 0.250 0.261 Br
0.861 0.750 0.273 Br
0.971 0.250 0.985 Br
```

Peak list (6 most intense, 15 to 90 degrees two-theta, sorted by position)
Position (°2θ)	d_spacing	I_rel	hkl
25.3	3.517	100	2 2 1
26.4	3.374	66	2 0 3
26.7	3.336	55	1 0 4
27.6	3.232	56	2 2 2
32.3	2.773	43	0 4 0
50.7	1.800	37	5 2 1